1.
Structure and theoretical X-ray powder pattern of CrNiPd6 (a crystal structure in Alexandria, relaxed with PBE; copper Kα).
Lines closer than 0.1° are merged.

Cell and atoms:
```
data_CrNiPd6
_chemical_formula_sum 'Cr1 Ni1 Pd6'
_cell_length_a 5.5070
_cell_length_b 5.5070
_cell_length_c 3.8826
_cell_angle_alpha 90.00
_cell_angle_beta 90.00
_cell_angle_gamma 90.00
_symmetry_space_group_name_H-M 'P 4/m m m'
_symmetry_Int_Tables_number 123
_symmetry_space_group_name_Hall '-P 4 2'
loop_
_atom_site_label
_atom_site_type_symbol
_atom_site_fract_x
_atom_site_fract_y
_atom_site_fract_z
Cr1 Cr 0.0000 0.0000 0.0000
Ni1 Ni 0.5000 0.5000 0.0000
Pd1 Pd 0.0000 0.5000 0.0000
Pd2 Pd 0.2513 0.2513 0.5000
```

Most intense lines, 2θ from 10° to 90°, in order of falling intensity:
(hkl)  two_theta  I/Imax
2 0 1  40.15  100.0
2 2 0  46.65  32.2
4 2 1  82.11  23.5
2 2 2  68.22  19.9
0 0 2  46.80  15.9
2 0 3  82.32  11.7
4 0 2  86.70  10.4
4 0 0  68.11  10.0
1 1 0  22.86  5.2
2 0 0  32.55  4.3

---

2.
Structure and theoretical X-ray powder pattern of CrNiPd6 (a crystal structure in Alexandria, relaxed with PBE; copper Kα).
Lines closer than 0.1° are merged.

Cell and atoms:
```
data_CrNiPd6
_chemical_formula_sum 'Cr1 Ni1 Pd6'
_cell_length_a 4.9563
_cell_length_b 4.9655
_cell_length_c 5.0330
_cell_angle_alpha 92.86
_cell_angle_beta 92.85
_cell_angle_gamma 92.62
_symmetry_space_group_name_H-M 'P -1'
_symmetry_Int_Tables_number 2
loop_
_symmetry_equiv_pos_as_xyz
'x,y,z'
'-x,-y,-z'
loop_
_atom_site_label
_atom_site_type_symbol
_atom_site_fract_x
_atom_site_fract_y
_atom_site_fract_z
Cr1 Cr 0.0000 0.0000 0.0000
Ni1 Ni 0.5000 0.5000 0.5000
Pd1 Pd 0.0449 0.7490 0.4509
Pd2 Pd 0.2507 0.5462 0.9502
Pd3 Pd 0.4604 0.0405 0.7490
```

Most intense lines, 2θ from 10° to 90°, in order of falling intensity:
(hkl)  two_theta  I/Imax
1 2 0  41.54  100.0
1 -2 1  43.57  87.3
0 1 2  41.17  71.2
1 1 -2  43.15  48.5
2 1 0  41.61  31.9
1 0 -1  24.59  31.1
2 0 0  36.31  26.2
1 -1 0  24.82  17.6
1 -2 0  39.94  16.4
2 0 -1  39.77  15.5

---

3.
Structure and theoretical X-ray powder pattern of Pr2Zn3CrNi12 (a crystal structure in Alexandria, relaxed with PBE; copper Kα).
Lines closer than 0.1° are merged.

Cell and atoms:
```
data_Pr2Zn3CrNi12
_chemical_formula_sum 'Pr6 Zn9 Cr3 Ni36'
_cell_length_a 6.0759
_cell_length_b 6.0759
_cell_length_c 25.5233
_cell_angle_alpha 90.00
_cell_angle_beta 90.00
_cell_angle_gamma 120.00
_symmetry_space_group_name_H-M 'R -3 m'
_symmetry_Int_Tables_number 166
_symmetry_space_group_name_Hall '-R 3 2"'
loop_
_atom_site_label
_atom_site_type_symbol
_atom_site_fract_x
_atom_site_fract_y
_atom_site_fract_z
Pr1 Pr 0.0000 0.0000 0.1542
Zn1 Zn 0.0000 0.5000 0.0000
Cr1 Cr 0.0000 0.0000 0.5000
Ni1 Ni 0.0566 0.5283 0.0969
Ni2 Ni 0.0724 0.5362 0.6152
```

Most intense lines, 2θ from 10° to 90°, in order of falling intensity:
(hkl)  two_theta  I/Imax
1 1 3  31.26  100.0
1 0 10  39.23  51.6
1 2 2  46.20  50.1
0 2 4  36.96  48.2
1 1 6  36.34  44.8
2 0 8  44.64  39.7
2 2 0  61.00  38.8
3 0 6  56.77  34.3
0 2 1  34.26  30.9
0 1 11  42.57  27.8

---

4.
Structure and theoretical X-ray powder pattern of CrNi15Pt6 (a crystal structure in Alexandria, relaxed with PBE; copper Kα).
Lines closer than 0.1° are merged.

Cell and atoms:
```
data_CrNi15Pt6
_chemical_formula_sum 'Cr1 Ni15 Pt6'
_cell_length_a 5.0602
_cell_length_b 7.2593
_cell_length_c 8.4181
_cell_angle_alpha 109.24
_cell_angle_beta 98.48
_cell_angle_gamma 99.54
_symmetry_space_group_name_H-M 'P 1'
_symmetry_Int_Tables_number 1
loop_
_symmetry_equiv_pos_as_xyz
'x,y,z'
loop_
_atom_site_label
_atom_site_type_symbol
_atom_site_fract_x
_atom_site_fract_y
_atom_site_fract_z
Cr1 Cr 0.0000 0.0000 0.0000
Ni1 Ni 0.0081 0.3915 0.7145
Ni2 Ni 0.0330 0.7701 0.4534
Ni3 Ni 0.1448 0.1363 0.4855
Ni4 Ni 0.1588 0.5145 0.2152
Ni5 Ni 0.2909 0.6120 0.6154
Ni6 Ni 0.4375 0.3773 0.3954
Ni7 Ni 0.5198 0.3801 0.7146
Ni8 Ni 0.5467 0.7635 0.4517
Ni9 Ni 0.6423 0.1286 0.4840
Ni10 Ni 0.6741 0.5275 0.2056
Ni11 Ni 0.7738 0.8850 0.2401
Ni12 Ni 0.7963 0.2865 0.9435
Ni13 Ni 0.9052 0.6316 0.9837
Ni14 Ni 0.9229 0.0418 0.6964
Ni15 Ni 0.9238 0.3787 0.3979
Pt1 Pt 0.2654 0.8808 0.2369
Pt2 Pt 0.2953 0.3191 0.9494
Pt3 Pt 0.4201 0.9926 0.7275
Pt4 Pt 0.4268 0.7184 0.9367
Pt5 Pt 0.5710 0.1327 0.1284
Pt6 Pt 0.8261 0.6916 0.6974
```

Most intense lines, 2θ from 10° to 90°, in order of falling intensity:
(hkl)  two_theta  I/Imax
0 3 -3  42.96  100.0
2 -1 2  45.06  95.9
2 0 -3  45.27  80.2
2 2 -1  48.20  68.2
2 -3 0  48.70  67.1
2 0 1  41.14  58.7
0 0 4  46.84  54.5
0 2 2  41.63  52.1
-2 1 2  41.52  43.5
0 3 1  46.38  42.1